Diffraction record for Ba8Pt5. The powder X-ray diffraction pattern is simulated, not measured: it uses DFT lattice parameters and positions (GGA-PBE) and Cu Kα, 1.54184 Å.
No peak broadening, texture or thermal motion is included.

Cell and atoms:
a = 8.829 Å, b = 4.512 Å, c = 12.425 Å
α = 90.00°, β = 110.52°, γ = 90.00°
Atoms (fractional coordinates):
Ba 0.000 0.000 0.000
Ba 0.062 0.000 0.662
Ba 0.226 0.500 0.455
Ba 0.393 0.500 0.158
Ba 0.456 0.000 0.908
Ba 0.601 0.000 0.453
Ba 0.692 0.500 0.748
Ba 0.853 0.000 0.248
Pt 0.151 0.500 0.882
Pt 0.242 0.000 0.267
Pt 0.432 0.000 0.642
Pt 0.723 0.500 0.027
Pt 0.861 0.500 0.457

Main lines, in order of falling intensity (5 to 70 degrees two-theta):
3.045 Å, 2θ 29.3, I 100
3.567 Å, 2θ 25.0, I 70
2.941 Å, 2θ 30.4, I 62
2.256 Å, 2θ 40.0, I 57
2.451 Å, 2θ 36.7, I 56
2.778 Å, 2θ 32.2, I 48
2.770 Å, 2θ 32.3, I 47
2.920 Å, 2θ 30.6, I 38
2.561 Å, 2θ 35.0, I 35
2.175 Å, 2θ 41.5, I 33
3.111 Å, 2θ 28.7, I 30
4.415 Å, 2θ 20.1, I 27

***

Diffraction record for P2Au2S7. The powder X-ray diffraction pattern is simulated, not measured: it uses DFT lattice parameters and positions (GGA-PBE) and Cu Kα, 1.54184 Å.
No peak broadening, texture or thermal motion is included.

Cell and atoms:
a = 5.708 Å, b = 5.708 Å, c = 8.901 Å
α = 103.54°, β = 103.54°, γ = 67.05°
Atoms (fractional coordinates):
P 0.087 0.087 0.202
P 0.913 0.913 0.798
Au 0.272 0.302 0.734
Au 0.698 0.728 0.266
S 0.171 0.734 0.255
S 0.266 0.829 0.745
S 0.419 0.099 0.161
S 0.647 0.086 0.622
S 0.803 0.197 0.000
S 0.901 0.581 0.839
S 0.914 0.353 0.378

Main lines, in order of falling intensity (5 to 70 degrees two-theta):
4.271 Å, 2θ 20.8, I 100
4.151 Å, 2θ 21.4, I 85
4.787 Å, 2θ 18.5, I 79
2.597 Å, 2θ 34.5, I 47
4.567 Å, 2θ 19.4, I 42
2.827 Å, 2θ 31.6, I 42
4.601 Å, 2θ 19.3, I 37
2.091 Å, 2θ 43.3, I 33
2.537 Å, 2θ 35.4, I 31
2.344 Å, 2θ 38.4, I 28
2.393 Å, 2θ 37.6, I 27
2.683 Å, 2θ 33.4, I 26

***

Diffraction record for DyHoIn2Pd4. The powder X-ray diffraction pattern is simulated, not measured: it uses DFT lattice parameters and positions (GGA-PBE) and Cu Kα, 1.54184 Å.
No peak broadening, texture or thermal motion is included.

Cell and atoms:
a = 4.589 Å, b = 4.589 Å, c = 8.899 Å
α = 90.00°, β = 90.00°, γ = 120.00°
Atoms (fractional coordinates):
Dy 0.000 0.000 0.000
Ho 0.667 0.333 0.500
In 0.333 0.667 0.250
In 0.333 0.667 0.750
Pd 0.000 0.000 0.338
Pd 0.000 0.000 0.662
Pd 0.667 0.333 0.163
Pd 0.667 0.333 0.837

Main lines, in order of falling intensity (5 to 70 degrees two-theta):
2.294 Å, 2θ 39.3, I 100
2.377 Å, 2θ 37.8, I 97
2.964 Å, 2θ 30.2, I 37
1.651 Å, 2θ 55.7, I 31
1.390 Å, 2θ 67.4, I 15
3.974 Å, 2θ 22.4, I 9
1.814 Å, 2θ 50.3, I 9
1.423 Å, 2θ 65.6, I 8
1.597 Å, 2θ 57.7, I 6
1.941 Å, 2θ 46.8, I 6
1.482 Å, 2θ 62.7, I 5
3.629 Å, 2θ 24.5, I 5